B: calculated X-ray powder pattern (CuKα), based on a structure optimized by DFT (PBE).
Intensities are scaled so that the largest is 100.

Structure:
Lattice parameters (Å, degrees): 1.7113 1.7113 3.7358 90.00 90.00 120.00
Fractional positions:
B (0.0000, 0.0000, 0.0000)

Largest 4 diffraction maxima, low angle first, 5 to 70 degrees two-theta:
23.8 deg, I = 100
48.8 deg, I = 8
62.7 deg, I = 9
68.1 deg, I = 15


Cs2BaTa6Br15O3: calculated X-ray powder pattern (CuKα), based on a structure optimized by DFT (PBE).
Intensities are scaled so that the largest is 100.

Structure:
Lattice parameters (Å, degrees): 9.9831 9.9831 18.7471 90.26 90.26 120.34
Fractional positions:
Cs (0.1654, 0.8330, 0.5404)
Cs (0.1670, 0.8346, 0.9596)
Cs (0.8330, 0.1654, 0.0404)
Cs (0.8346, 0.1670, 0.4596)
Ba (0.1672, 0.8328, 0.2500)
Ba (0.8328, 0.1672, 0.7500)
Ta (0.3136, 0.4840, 0.8155)
Ta (0.3236, 0.3351, 0.6877)
Ta (0.3328, 0.5165, 0.3126)
Ta (0.3351, 0.3236, 0.1877)
Ta (0.4835, 0.6672, 0.1874)
Ta (0.4840, 0.3136, 0.3155)
Ta (0.5160, 0.6864, 0.6845)
Ta (0.5165, 0.3328, 0.8126)
Ta (0.6649, 0.6764, 0.8123)
Ta (0.6672, 0.4835, 0.6874)
Ta (0.6764, 0.6649, 0.3123)
Ta (0.6864, 0.5160, 0.1845)
Br (0.0562, 0.4415, 0.8859)
Br (0.0590, 0.1154, 0.6152)
Br (0.0857, 0.2909, 0.2496)
Br (0.1154, 0.0590, 0.1152)
Br (0.1151, 0.5591, 0.3851)
Br (0.2825, 0.4830, 0.0907)
Br (0.2835, 0.2984, 0.4093)
Br (0.2909, 0.0857, 0.7496)
Br (0.2927, 0.7073, 0.7500)
Br (0.2970, 0.5135, 0.5909)
Br (0.2984, 0.2835, 0.9093)
Br (0.4415, 0.0562, 0.3859)
Br (0.4409, 0.8849, 0.1149)
Br (0.4830, 0.2825, 0.5907)
Br (0.4865, 0.7030, 0.9091)
Br (0.5135, 0.2970, 0.0909)
Br (0.5170, 0.7175, 0.4093)
Br (0.5591, 0.1151, 0.8851)
Br (0.5585, 0.9438, 0.6141)
Br (0.7016, 0.7165, 0.0907)
Br (0.7030, 0.4865, 0.4091)
Br (0.7073, 0.2927, 0.2500)
Br (0.7091, 0.9143, 0.2504)
Br (0.7165, 0.7016, 0.5907)
Br (0.7175, 0.5170, 0.9093)
Br (0.8849, 0.4409, 0.6149)
Br (0.8846, 0.9410, 0.8848)
Br (0.9143, 0.7091, 0.7504)
Br (0.9410, 0.8846, 0.3848)
Br (0.9438, 0.5585, 0.1141)
O (0.1610, 0.3321, 0.7498)
O (0.3291, 0.6709, 0.2500)
O (0.3321, 0.1610, 0.2498)
O (0.6679, 0.8390, 0.7502)
O (0.6709, 0.3291, 0.7500)
O (0.8390, 0.6679, 0.2502)

Largest 6 diffraction maxima, low angle first, 5 to 70 degrees two-theta:
9.4 deg, I = 54
10.2 deg, I = 100
13.9 deg, I = 34
33.4 deg, I = 49
39.8 deg, I = 26
40.9 deg, I = 21